For Ba3Sb2Pd7, the GGA-PBE geometry in Alexandria gives the theoretical powder XRD pattern in this record (λ = 1.5418 Å (Cu Kα)).
Intensities are scaled so that the largest is 100.

Principal peaks in the range 2θ from 10° to 90°, sorted by position:
2θ (°), Rel. int.
11.28, 32.4
24.07, 13.8
28.17, 21.3
28.45, 26.1
31.51, 100.0
34.55, 32.1
39.37, 41.9
40.71, 38.1
42.55, 76.0
57.92, 26.6

Crystal structure
a b c (Å): 4.578 4.433 15.846
angles (deg): 90.00 98.18 90.00
Atoms (fractional coordinates):
Ba 0.000 0.000 0.000
Ba 0.197 0.000 0.397
Ba 0.803 0.000 0.603
Sb 0.417 0.500 0.836
Sb 0.583 0.500 0.164
Pd 0.124 0.500 0.247
Pd 0.320 0.500 0.637
Pd 0.376 0.000 0.749
Pd 0.500 0.500 0.000
Pd 0.624 0.000 0.251
Pd 0.680 0.500 0.363
Pd 0.876 0.500 0.753


For Pr6Sn2Os, the GGA-PBE geometry in Alexandria gives the theoretical powder XRD pattern in this record (λ = 1.5418 Å (Cu Kα)).
Intensities are scaled so that the largest is 100.

Principal peaks in the range 2θ from 10° to 90°, sorted by position:
2θ (°), Rel. int.
12.07, 26.3
29.06, 48.1
29.18, 74.4
31.60, 100.0
31.75, 46.0
32.44, 28.3
36.67, 35.2
38.35, 50.0
40.63, 42.4
52.88, 27.1

Crystal structure
a b c (Å): 4.441 8.446 8.446
angles (deg): 119.48 90.00 90.00
Atoms (fractional coordinates):
Pr 0.000 0.000 0.000
Pr 0.000 0.517 0.751
Pr 0.000 0.751 0.517
Pr 0.500 0.157 0.754
Pr 0.500 0.345 0.345
Pr 0.500 0.754 0.157
Sn 0.000 0.086 0.423
Sn 0.000 0.423 0.086
Os 0.500 0.771 0.771